# 1
The following is a computed X-ray powder pattern of Co13W2. It was derived from a structure optimized by DFT (PBE), using copper Kα.
No peak broadening, texture or thermal motion is included.

Principal peaks in the range 2θ = 10–90°, sorted by position:
2θ/deg, I_rel
14.38, 24
22.16, 24
35.27, 24
38.27, 23
39.90, 27
42.81, 55
44.11, 24
45.21, 23
46.46, 70
47.51, 100
48.72, 50
77.89, 22

Structural model:
Lattice parameters (Å, degrees): 8.7097 8.7097 4.5193 90.00 90.00 90.00
Fractional positions:
Co  0.0000  0.0000  0.0000
Co  0.0363  0.3719  0.5000
Co  0.0651  0.2657  0.0000
Co  0.1281  0.5363  0.0000
Co  0.1831  0.8169  0.2502
Co  0.1831  0.8169  0.7498
Co  0.2343  0.5651  0.5000
Co  0.2657  0.0651  0.0000
Co  0.3169  0.3169  0.2498
Co  0.3169  0.3169  0.7502
Co  0.3719  0.0363  0.5000
Co  0.4349  0.7657  0.5000
Co  0.4637  0.8719  0.0000
Co  0.5000  0.5000  0.5000
Co  0.5363  0.1281  0.0000
Co  0.5651  0.2343  0.5000
Co  0.6281  0.9637  0.5000
Co  0.6831  0.6831  0.2498
Co  0.6831  0.6831  0.7502
Co  0.7343  0.9349  0.0000
Co  0.7657  0.4349  0.5000
Co  0.8169  0.1831  0.2502
Co  0.8169  0.1831  0.7498
Co  0.8719  0.4637  0.0000
Co  0.9349  0.7343  0.0000
Co  0.9637  0.6281  0.5000
W  0.1077  0.1077  0.5000
W  0.3923  0.6077  0.0000
W  0.6077  0.3923  0.0000
W  0.8923  0.8923  0.5000

# 2
The following is a computed X-ray powder pattern of Dy3Mg4. It was derived from a structure optimized by DFT (PBE), using copper Kα.
No peak broadening, texture or thermal motion is included.

Principal peaks in the range 2θ = 10–90°, sorted by position:
2θ/deg, I_rel
11.38, 76
25.81, 24
28.29, 33
30.41, 25
33.19, 26
34.75, 100
38.53, 14
45.63, 17
54.04, 18
60.31, 20
64.91, 21
65.87, 13

Structural model:
Lattice parameters (Å, degrees): 8.9788 8.9788 5.3984 90.00 90.00 120.00
Fractional positions:
Dy  0.0675  0.2540  0.2500
Dy  0.1865  0.9325  0.2500
Dy  0.2540  0.1865  0.7500
Dy  0.7460  0.8135  0.2500
Dy  0.8135  0.0675  0.7500
Dy  0.9325  0.7460  0.7500
Mg  0.1015  0.4881  0.7500
Mg  0.3333  0.6667  0.2500
Mg  0.3866  0.8985  0.7500
Mg  0.4881  0.3866  0.2500
Mg  0.5119  0.6134  0.7500
Mg  0.6134  0.1015  0.2500
Mg  0.6667  0.3333  0.7500
Mg  0.8985  0.5119  0.2500

# 3
The following is a computed X-ray powder pattern of YTmCu2Ge2. It was derived from a structure optimized by DFT (PBE), using copper Kα.
No peak broadening, texture or thermal motion is included.

Principal peaks in the range 2θ = 10–90°, sorted by position:
2θ/deg, I_rel
12.15, 9
24.25, 10
27.20, 7
34.69, 100
42.66, 53
44.74, 5
50.08, 9
56.11, 25
67.85, 22
72.97, 22
78.11, 8
83.93, 6

Structural model:
Lattice parameters (Å, degrees): 4.2384 4.2384 7.2862 90.00 90.00 120.00
Fractional positions:
Y  0.0000  0.0000  0.0000
Tm  0.0000  0.0000  0.5005
Cu  0.3333  0.6667  0.7230
Cu  0.6667  0.3333  0.2349
Ge  0.3333  0.6667  0.2731
Ge  0.6667  0.3333  0.7649

# 4
The following is a computed X-ray powder pattern of Bi8Pt5I3. It was derived from a structure optimized by DFT (PBE), using copper Kα.
No peak broadening, texture or thermal motion is included.

Principal peaks in the range 2θ = 10–90°, sorted by position:
2θ/deg, I_rel
10.02, 100
28.14, 12
30.84, 50
31.38, 13
33.31, 12
34.59, 29
34.91, 10
35.27, 16
38.03, 15
38.63, 25
45.64, 20
46.88, 12

Structural model:
Lattice parameters (Å, degrees): 9.4852 9.4852 13.5694 112.25 112.25 24.19
Fractional positions:
Bi  0.0163  0.0163  0.2819
Bi  0.1766  0.1766  0.2292
Bi  0.1826  0.1826  0.5305
Bi  0.3952  0.3952  0.0212
Bi  0.6048  0.6048  0.9788
Bi  0.8174  0.8174  0.4695
Bi  0.8234  0.8234  0.7708
Bi  0.9837  0.9837  0.7181
Pt  0.0000  0.0000  0.0000
Pt  0.3473  0.3473  0.6265
Pt  0.4466  0.4466  0.8419
Pt  0.5534  0.5534  0.1581
Pt  0.6527  0.6527  0.3735
I  0.1845  0.1845  0.8267
I  0.5000  0.5000  0.5000
I  0.8155  0.8155  0.1733